[1]
Diffraction record for Ba2Al3AgSn4. The X-ray diffraction stick pattern is theoretical, not measured: it uses a PBE-relaxed structure and Cu Kα (weighted mean of Kα1 and Kα2).
Intensities are scaled so that the largest is 1000.

Atomic structure:
```
data_Ba2Al3AgSn4
_cell_length_a 4.9940
_cell_length_b 4.9940
_cell_length_c 11.0989
_cell_angle_alpha 90.00
_cell_angle_beta 90.00
_cell_angle_gamma 90.00
_space_group_name_H-M_alt 'P -4 m 2'
_space_group_IT_number 115
loop_
_space_group_symop_operation_xyz
'x,y,z'
'y,-x,-z'
'-x,-y,z'
'-y,x,-z'
'-x,y,z'
'-y,-x,-z'
'x,-y,z'
'y,x,-z'
loop_
_atom_site_label
_atom_site_fract_x
_atom_site_fract_y
_atom_site_fract_z
Ba1 0.0000 0.5000 0.2429
Al1 0.0000 0.0000 0.0000
Al2 0.0000 0.5000 0.6258
Ag1 0.5000 0.5000 0.0000
Sn1 0.0000 0.0000 0.5000
Sn2 0.0000 0.5000 0.8716
Sn3 0.5000 0.5000 0.5000
```

Peak list (10 most intense, 2θ from 15° to 90°, by intensity)
- 30.02°, rel. 1000, (1 1 2)
- 35.97°, rel. 424, (2 0 0)
- 61.01°, rel. 221, (3 1 2)
- 47.56°, rel. 187, (2 1 3)
- 51.78°, rel. 150, (2 2 0)
- 24.00°, rel. 142, (0 0 3)
- 44.67°, rel. 125, (1 0 5)
- 26.49°, rel. 123, (1 1 1)
- 41.38°, rel. 116, (1 1 4)
- 58.64°, rel. 112, (2 1 5)


[2]
Diffraction record for Hf6CoHg2. The X-ray diffraction stick pattern is theoretical, not measured: it uses a PBE-relaxed structure and Cu Kα (weighted mean of Kα1 and Kα2).
Intensities are scaled so that the largest is 1000.

Atomic structure:
```
data_Hf6CoHg2
_cell_length_a 8.0195
_cell_length_b 8.0195
_cell_length_c 3.3341
_cell_angle_alpha 90.00
_cell_angle_beta 90.00
_cell_angle_gamma 120.00
_space_group_name_H-M_alt 'P -6 2 m'
_space_group_IT_number 189
_space_group_name_Hall 'P -6 -2'
loop_
_atom_site_label
_atom_site_fract_x
_atom_site_fract_y
_atom_site_fract_z
Hf1 0.0000 0.2392 0.0000
Hf2 0.0000 0.6132 0.5000
Co1 0.0000 0.0000 0.5000
Hg1 0.3333 0.6667 0.0000
```

Peak list (10 most intense, 2θ from 15° to 90°, by intensity)
- 35.00°, rel. 1000, (1 1 1)
- 34.16°, rel. 680, (2 1 0)
- 37.39°, rel. 513, (2 0 1)
- 38.90°, rel. 455, (3 0 0)
- 43.90°, rel. 338, (2 1 1)
- 64.86°, rel. 260, (3 2 1)
- 55.08°, rel. 257, (0 0 2)
- 67.94°, rel. 222, (4 1 1)
- 66.44°, rel. 203, (2 1 2)
- 69.48°, rel. 167, (3 0 2)


[3]
Diffraction record for Cs2Tl2H3. The X-ray diffraction stick pattern is theoretical, not measured: it uses a PBE-relaxed structure and Cu Kα (weighted mean of Kα1 and Kα2).
Intensities are scaled so that the largest is 1000.

Atomic structure:
```
data_Cs2Tl2H3
_cell_length_a 16.2991
_cell_length_b 3.8254
_cell_length_c 6.6583
_cell_angle_alpha 90.00
_cell_angle_beta 99.56
_cell_angle_gamma 90.00
_space_group_name_H-M_alt 'C 1 2/m 1'
_space_group_IT_number 12
loop_
_space_group_symop_operation_xyz
'x,y,z'
'-x,-y,-z'
'-x,y,-z'
'x,-y,z'
'x+1/2,y+1/2,z'
'-x+1/2,-y+1/2,-z'
'-x+1/2,y+1/2,-z'
'x+1/2,-y+1/2,z'
loop_
_atom_site_label
_atom_site_fract_x
_atom_site_fract_y
_atom_site_fract_z
Cs1 0.1398 0.0000 0.2484
Tl1 0.0568 0.5000 0.7099
H1 0.0000 0.5000 0.0000
H2 0.1776 0.5000 0.6752
```

Peak list (10 most intense, 2θ from 15° to 90°, by intensity)
- 27.12°, rel. 1000, (0 0 2)
- 23.95°, rel. 591, (4 0 -1)
- 30.57°, rel. 507, (3 1 -1)
- 28.67°, rel. 406, (3 1 0)
- 33.01°, rel. 287, (3 1 1)
- 27.89°, rel. 264, (4 0 1)
- 41.87°, rel. 262, (3 1 2)
- 50.55°, rel. 213, (7 1 -2)
- 46.11°, rel. 211, (7 1 0)
- 38.34°, rel. 195, (6 0 1)


[4]
Diffraction record for DyHo4Ge4. The X-ray diffraction stick pattern is theoretical, not measured: it uses a PBE-relaxed structure and Cu Kα (weighted mean of Kα1 and Kα2).
Intensities are scaled so that the largest is 1000.

Atomic structure:
```
data_DyHo4Ge4
_cell_length_a 9.1063
_cell_length_b 9.1063
_cell_length_c 5.7928
_cell_angle_alpha 90.00
_cell_angle_beta 90.00
_cell_angle_gamma 90.00
_space_group_name_H-M_alt 'P 42/n'
_space_group_IT_number 86
loop_
_space_group_symop_operation_xyz
'x,y,z'
'-x,-y,-z'
'-y,x+1/2,z+1/2'
'y,-x+1/2,-z+1/2'
'-x+1/2,-y+1/2,z'
'x+1/2,y+1/2,-z'
'y+1/2,-x,z+1/2'
'-y+1/2,x,-z+1/2'
loop_
_atom_site_label
_atom_site_fract_x
_atom_site_fract_y
_atom_site_fract_z
Dy1 0.2500 0.2500 0.2500
Ho1 0.0796 0.6553 0.1369
Ge1 0.0279 0.6180 0.6377
```

Peak list (10 most intense, 2θ from 15° to 90°, by intensity)
- 31.06°, rel. 1000, (1 3 0)
- 32.44°, rel. 519, (1 0 2)
- 26.76°, rel. 508, (2 1 1)
- 44.49°, rel. 318, (4 2 0)
- 43.17°, rel. 268, (3 0 2)
- 47.78°, rel. 235, (3 2 2)
- 38.13°, rel. 183, (1 2 2)
- 52.07°, rel. 177, (1 4 2)
- 38.90°, rel. 176, (2 3 1)
- 34.79°, rel. 142, (3 1 1)


[5]
Diffraction record for CsZnP2Se. The X-ray diffraction stick pattern is theoretical, not measured: it uses a PBE-relaxed structure and Cu Kα (weighted mean of Kα1 and Kα2).
Intensities are scaled so that the largest is 1000.

Atomic structure:
```
data_CsZnP2Se
_cell_length_a 5.0513
_cell_length_b 3.7168
_cell_length_c 9.0960
_cell_angle_alpha 90.00
_cell_angle_beta 90.83
_cell_angle_gamma 90.00
_space_group_name_H-M_alt 'P 1 m 1'
_space_group_IT_number 6
loop_
_space_group_symop_operation_xyz
'x,y,z'
'x,-y,z'
loop_
_atom_site_label
_atom_site_fract_x
_atom_site_fract_y
_atom_site_fract_z
Cs1 0.0000 0.0000 0.0000
Zn1 0.5203 0.0000 0.3758
P1 0.4917 0.5000 0.7555
P2 0.5440 0.0000 0.6302
Se1 0.5052 0.5000 0.2173
```

Peak list (10 most intense, 2θ from 15° to 90°, by intensity)
- 19.98°, rel. 1000, (1 0 -1)
- 31.08°, rel. 988, (0 1 2)
- 20.23°, rel. 959, (1 0 1)
- 31.38°, rel. 804, (1 1 -1)
- 31.54°, rel. 753, (1 1 1)
- 26.18°, rel. 725, (1 0 -2)
- 26.56°, rel. 708, (1 0 2)
- 35.55°, rel. 659, (2 0 0)
- 50.16°, rel. 641, (1 1 -4)
- 38.31°, rel. 641, (0 1 3)


[6]
Diffraction record for NaPtF. The X-ray diffraction stick pattern is theoretical, not measured: it uses a PBE-relaxed structure and Cu Kα (weighted mean of Kα1 and Kα2).
Intensities are scaled so that the largest is 1000.

Atomic structure:
```
data_NaPtF
_cell_length_a 5.0560
_cell_length_b 2.9214
_cell_length_c 11.1813
_cell_angle_alpha 90.00
_cell_angle_beta 90.01
_cell_angle_gamma 90.00
_space_group_name_H-M_alt 'C 1 m 1'
_space_group_IT_number 8
loop_
_space_group_symop_operation_xyz
'x,y,z'
'x,-y,z'
'x+1/2,y+1/2,z'
'x+1/2,-y+1/2,z'
loop_
_atom_site_label
_atom_site_fract_x
_atom_site_fract_y
_atom_site_fract_z
Na1 0.0000 0.0000 0.0000
Na2 0.1671 0.5000 0.2638
Pt1 0.0011 0.0000 0.5744
Pt2 0.3349 0.0000 0.7746
F1 0.0008 0.0000 0.3852
F2 0.3335 0.0000 0.1280
```

Peak list (10 most intense, 2θ from 15° to 90°, by intensity)
- 39.09°, rel. 1000, (1 1 -2)
- 43.23°, rel. 780, (1 1 3)
- 36.42°, rel. 750, (2 0 1)
- 78.16°, rel. 326, (3 1 5)
- 32.02°, rel. 271, (0 0 4)
- 48.54°, rel. 257, (2 0 -4)
- 35.50°, rel. 250, (2 0 0)
- 63.74°, rel. 246, (3 1 0)
- 40.33°, rel. 232, (0 0 5)
- 54.80°, rel. 201, (2 0 -5)